Record 1
Simulated powder X-ray diffraction pattern
Compound: Ca3BiSb
Radiation: CuKα
Structure: the GGA-PBE geometry in the Materials Project
Neutral-atom scattering factors, no anomalous dispersion.

Structural model:
```
data_Ca3BiSb
_chemical_formula_sum 'Ca3 Bi1 Sb1'
_cell_length_a 5.8100
_cell_length_b 5.8100
_cell_length_c 5.8100
_cell_angle_alpha 90.00
_cell_angle_beta 90.00
_cell_angle_gamma 90.00
_space_group_name_H-M_alt 'P m -3 m'
_space_group_IT_number 221
_space_group_name_Hall '-P 4 2 3'
loop_
_atom_site_label
_atom_site_fract_x
_atom_site_fract_y
_atom_site_fract_z
Ca1 0.0000 0.0000 0.5000
Bi1 0.5000 0.5000 0.5000
Sb1 0.0000 0.0000 0.0000
```

Top 10 peaks for 2θ from 15° to 90°, by angle:
2θ 21.63, rel. 100
2θ 26.57, rel. 23
2θ 30.78, rel. 54
2θ 37.93, rel. 49
2θ 44.09, rel. 40
2θ 49.62, rel. 23
2θ 54.73, rel. 14
2θ 59.53, rel. 27
2θ 72.80, rel. 18
2θ 85.15, rel. 16



Record 2
Simulated powder X-ray diffraction pattern
Compound: CdBi3
Radiation: CuKα
Structure: the GGA-PBE geometry in the Materials Project
Neutral-atom scattering factors, no anomalous dispersion.

Structural model:
```
data_CdBi3
_chemical_formula_sum 'Cd1 Bi3'
_cell_length_a 4.9533
_cell_length_b 4.9533
_cell_length_c 4.9533
_cell_angle_alpha 90.00
_cell_angle_beta 90.00
_cell_angle_gamma 90.00
_space_group_name_H-M_alt 'P m -3 m'
_space_group_IT_number 221
_space_group_name_Hall '-P 4 2 3'
loop_
_atom_site_label
_atom_site_fract_x
_atom_site_fract_y
_atom_site_fract_z
Cd1 0.0000 0.0000 0.0000
Bi1 0.0000 0.5000 0.5000
```

Top 10 peaks for 2θ from 15° to 90°, by angle:
2θ 17.91, rel. 4
2θ 25.43, rel. 4
2θ 31.28, rel. 100
2θ 36.27, rel. 51
2θ 52.23, rel. 36
2θ 62.15, rel. 44
2θ 65.25, rel. 13
2θ 77.00, rel. 6
2θ 85.44, rel. 19
2θ 88.22, rel. 18



Record 3
Simulated powder X-ray diffraction pattern
Compound: CdBi3
Radiation: CuKα
Structure: the GGA-PBE geometry in the Materials Project
Neutral-atom scattering factors, no anomalous dispersion.

Structural model:
```
data_CdBi3
_chemical_formula_sum 'Cd2 Bi6'
_cell_length_a 5.0736
_cell_length_b 5.0736
_cell_length_c 9.4507
_cell_angle_alpha 90.00
_cell_angle_beta 90.00
_cell_angle_gamma 90.00
_space_group_name_H-M_alt 'I 4/m m m'
_space_group_IT_number 139
_space_group_name_Hall '-I 4 2'
loop_
_atom_site_label
_atom_site_fract_x
_atom_site_fract_y
_atom_site_fract_z
Cd1 0.0000 0.0000 0.0000
Bi1 0.0000 0.0000 0.5000
Bi2 0.0000 0.5000 0.2500
```

Top 10 peaks for 2θ from 15° to 90°, by angle:
2θ 31.30, rel. 100
2θ 35.38, rel. 36
2θ 38.09, rel. 15
2θ 50.91, rel. 13
2θ 52.96, rel. 23
2θ 60.99, rel. 31
2θ 64.62, rel. 13
2θ 65.31, rel. 13
2θ 83.36, rel. 7
2θ 86.61, rel. 12